The following is a theoretical powder diffractogram of CsTl6Pb. It was derived from a GGA-PBE-relaxed structure, using λ = 1.5418 Å (Cu Kα).
Peak positions follow from Bragg's law for the DFT cell and can differ from measured ones.

Principal peaks in the range 2θ from 10° to 80°, most intense first:
- 2θ = 31.82°, rel. 100
- 2θ = 28.66°, rel. 64
- 2θ = 35.61°, rel. 42
- 2θ = 54.77°, rel. 22
- 2θ = 43.35°, rel. 22
- 2θ = 59.18°, rel. 20
- 2θ = 56.70°, rel. 20
- 2θ = 48.50°, rel. 18
- 2θ = 66.50°, rel. 12
- 2θ = 32.91°, rel. 12

Crystal structure
Cell lengths 5.6241, 5.6241, 32.4090 Å; angles 90.00, 90.00, 120.00 degrees
Space group R-3m (No. 166, hexagonal axes)
Asymmetric unit:
Cs  0.0000  0.0000  0.0000
Tl  0.0000  0.0000  0.1324
Tl  0.0000  0.0000  0.2359
Tl  0.0000  0.0000  0.4031
Pb  0.0000  0.0000  0.5000